Record 1
Diffraction record for Ca4TeN4. The X-ray diffraction stick pattern is computed, not measured: it uses a cell relaxed with PBE and CuKα.
Neutral-atom scattering factors, no anomalous dispersion.

Top 10 peaks for 2θ from 10° to 80°, sorted by position:
2θ = 16.52°, rel. 36.2; 2θ = 18.40°, rel. 43.7; 2θ = 18.91°, rel. 40.7; 2θ = 30.20°, rel. 83.4; 2θ = 30.47°, rel. 57.1; 2θ = 30.63°, rel. 100.0; 2θ = 31.43°, rel. 66.6; 2θ = 31.63°, rel. 62.1; 2θ = 35.95°, rel. 59.7; 2θ = 40.46°, rel. 53.0

Atomic structure:
Cell: 6.130 6.155 9.463 Å, 75.46 80.55 71.13°
Fractional coordinates of all 18 atoms:
Ca1 0.012 0.254 0.433
Ca2 0.221 0.244 0.981
Ca3 0.435 0.736 0.803
Ca4 0.475 0.227 0.571
Ca5 0.525 0.773 0.429
Ca6 0.565 0.264 0.197
Ca7 0.779 0.756 0.019
Ca8 0.988 0.746 0.567
Te1 0.169 0.776 0.202
Te2 0.831 0.224 0.798
N1 0.218 0.581 0.048
N2 0.244 0.950 0.592
N3 0.262 0.527 0.381
N4 0.425 0.933 0.173
N5 0.575 0.067 0.827
N6 0.738 0.473 0.619
N7 0.756 0.050 0.408
N8 0.782 0.419 0.952

---

Record 2
Diffraction record for LiTb3. The X-ray diffraction stick pattern is computed, not measured: it uses a cell relaxed with PBE and CuKα.
Neutral-atom scattering factors, no anomalous dispersion.

Top 10 peaks for 2θ from 10° to 80°, sorted by position:
2θ = 21.68°, rel. 32.8; 2θ = 25.36°, rel. 13.9; 2θ = 29.36°, rel. 23.7; 2θ = 32.27°, rel. 24.8; 2θ = 33.60°, rel. 100.0; 2θ = 44.19°, rel. 15.6; 2θ = 52.07°, rel. 19.3; 2θ = 58.40°, rel. 20.6; 2θ = 62.60°, rel. 22.2; 2θ = 63.41°, rel. 16.0

Atomic structure:
Cell: 7.025 7.025 5.548 Å, 90.00 90.00 120.00°
Fractional coordinates of all 8 atoms:
Li1 0.333 0.667 0.250
Li2 0.667 0.333 0.750
Tb1 0.169 0.338 0.750
Tb2 0.169 0.831 0.750
Tb3 0.338 0.169 0.250
Tb4 0.662 0.831 0.750
Tb5 0.831 0.169 0.250
Tb6 0.831 0.662 0.250

---

Record 3
Diffraction record for Zn2SiH2O5. The X-ray diffraction stick pattern is computed, not measured: it uses a cell relaxed with PBE and CuKα.
Neutral-atom scattering factors, no anomalous dispersion.

Top 10 peaks for 2θ from 10° to 80°, sorted by position:
2θ = 13.20°, rel. 60.0; 2θ = 16.29°, rel. 46.1; 2θ = 19.00°, rel. 34.4; 2θ = 20.86°, rel. 32.5; 2θ = 26.71°, rel. 64.1; 2θ = 28.36°, rel. 100.0; 2θ = 30.09°, rel. 42.7; 2θ = 34.68°, rel. 50.6; 2θ = 36.90°, rel. 53.7; 2θ = 50.31°, rel. 26.5

Atomic structure:
Cell: 7.377 7.377 7.377 Å, 109.49 84.96 138.95°
Fractional coordinates of all 20 atoms:
Zn1 0.163 0.203 0.366
Zn2 0.163 0.797 0.959
Zn3 0.837 0.203 0.041
Zn4 0.837 0.797 0.634
Si1 0.349 0.495 0.854
Si2 0.641 0.495 0.146
H1 0.356 0.767 0.411
H2 0.356 0.946 0.589
H3 0.822 0.198 0.376
H4 0.822 0.446 0.624
O1 0.163 0.207 0.636
O2 0.163 0.527 0.956
O3 0.414 0.414 0.000
O4 0.476 0.976 0.500
O5 0.571 0.207 0.044
O6 0.571 0.527 0.364
O7 0.642 0.809 0.834
O8 0.969 0.273 0.304
O9 0.969 0.666 0.696
O10 0.975 0.809 0.166

---

Record 4
Diffraction record for U3Sb4Pt3. The X-ray diffraction stick pattern is computed, not measured: it uses a cell relaxed with PBE and CuKα.
Neutral-atom scattering factors, no anomalous dispersion.

Top 10 peaks for 2θ from 10° to 80°, sorted by position:
2θ = 22.31°, rel. 19.1; 2θ = 25.82°, rel. 14.1; 2θ = 28.93°, rel. 11.8; 2θ = 34.38°, rel. 100.0; 2θ = 41.37°, rel. 55.0; 2θ = 45.53°, rel. 13.4; 2θ = 51.27°, rel. 18.4; 2θ = 66.36°, rel. 12.8; 2θ = 69.45°, rel. 12.4; 2θ = 70.97°, rel. 12.6

Atomic structure:
Cell: 8.452 8.452 8.452 Å, 109.47 109.47 109.47°
Fractional coordinates of all 20 atoms:
U1 0.125 0.875 0.250
U2 0.250 0.125 0.875
U3 0.375 0.625 0.750
U4 0.625 0.750 0.375
U5 0.750 0.375 0.625
U6 0.875 0.250 0.125
Sb1 0.000 0.178 0.500
Sb2 0.000 0.678 0.500
Sb3 0.178 0.500 0.000
Sb4 0.322 0.322 0.322
Sb5 0.500 0.000 0.178
Sb6 0.500 0.000 0.678
Sb7 0.678 0.500 0.000
Sb8 0.822 0.822 0.822
Pt1 0.125 0.750 0.875
Pt2 0.250 0.625 0.375
Pt3 0.375 0.250 0.625
Pt4 0.625 0.375 0.250
Pt5 0.750 0.875 0.125
Pt6 0.875 0.125 0.750

---

Record 5
Diffraction record for NdBC. The X-ray diffraction stick pattern is computed, not measured: it uses a cell relaxed with PBE and CuKα.
Neutral-atom scattering factors, no anomalous dispersion.

Top 10 peaks for 2θ from 10° to 80°, sorted by position:
2θ = 23.47°, rel. 35.0; 2θ = 24.60°, rel. 86.1; 2θ = 27.64°, rel. 60.1; 2θ = 29.03°, rel. 45.9; 2θ = 30.94°, rel. 38.1; 2θ = 32.18°, rel. 100.0; 2θ = 34.21°, rel. 28.4; 2θ = 34.32°, rel. 85.7; 2θ = 36.55°, rel. 42.1; 2θ = 50.38°, rel. 29.2

Atomic structure:
Cell: 8.454 8.486 12.303 Å, 90.00 90.00 90.00°
Fractional coordinates of all 60 atoms:
Nd1 0.048 0.098 0.140
Nd2 0.062 0.699 0.635
Nd3 0.157 0.592 0.903
Nd4 0.161 0.991 0.420
Nd5 0.245 0.289 0.673
Nd6 0.255 0.711 0.173
Nd7 0.339 0.009 0.920
Nd8 0.343 0.408 0.403
Nd9 0.438 0.301 0.135
Nd10 0.452 0.902 0.640
Nd11 0.548 0.402 0.860
Nd12 0.562 0.801 0.365
Nd13 0.657 0.908 0.097
Nd14 0.661 0.509 0.580
Nd15 0.745 0.211 0.327
Nd16 0.755 0.789 0.827
Nd17 0.839 0.491 0.080
Nd18 0.843 0.092 0.597
Nd19 0.938 0.199 0.865
Nd20 0.952 0.598 0.360
B1 0.019 0.889 0.959
B2 0.062 0.299 0.321
B3 0.098 0.977 0.739
B4 0.117 0.398 0.213
B5 0.185 0.307 0.991
B6 0.315 0.693 0.491
B7 0.383 0.602 0.713
B8 0.402 0.023 0.239
B9 0.438 0.701 0.821
B10 0.481 0.111 0.459
B11 0.519 0.611 0.041
B12 0.562 0.201 0.679
B13 0.598 0.523 0.261
B14 0.617 0.102 0.787
B15 0.685 0.193 0.009
B16 0.815 0.807 0.509
B17 0.883 0.898 0.287
B18 0.902 0.477 0.761
B19 0.938 0.799 0.179
B20 0.981 0.389 0.541
C1 0.026 0.307 0.439
C2 0.057 0.889 0.841
C3 0.146 0.396 0.092
C4 0.146 0.997 0.626
C5 0.244 0.299 0.879
C6 0.256 0.701 0.379
C7 0.354 0.003 0.126
C8 0.354 0.604 0.592
C9 0.443 0.111 0.341
C10 0.474 0.693 0.939
C11 0.526 0.193 0.561
C12 0.557 0.611 0.159
C13 0.646 0.104 0.908
C14 0.646 0.503 0.374
C15 0.744 0.201 0.121
C16 0.756 0.799 0.621
C17 0.854 0.497 0.874
C18 0.854 0.896 0.408
C19 0.943 0.389 0.659
C20 0.974 0.807 0.061

---

Record 6
Diffraction record for Re3Br9O2. The X-ray diffraction stick pattern is computed, not measured: it uses a cell relaxed with PBE and CuKα.
Neutral-atom scattering factors, no anomalous dispersion.

Top 10 peaks for 2θ from 10° to 80°, sorted by position:
2θ = 11.91°, rel. 88.0; 2θ = 12.28°, rel. 100.0; 2θ = 14.20°, rel. 89.9; 2θ = 18.06°, rel. 19.2; 2θ = 28.53°, rel. 51.2; 2θ = 30.21°, rel. 36.2; 2θ = 32.85°, rel. 42.8; 2θ = 33.22°, rel. 17.4; 2θ = 36.25°, rel. 32.9; 2θ = 45.95°, rel. 27.7

Atomic structure:
Cell: 9.334 9.334 10.851 Å, 101.96 101.96 69.28°
Fractional coordinates of all 28 atoms:
Re1 0.085 0.303 0.360
Re2 0.290 0.290 0.132
Re3 0.303 0.085 0.360
Re4 0.697 0.915 0.640
Re5 0.710 0.710 0.868
Re6 0.915 0.697 0.640
Br1 0.040 0.485 0.196
Br2 0.118 0.793 0.769
Br3 0.131 0.131 0.531
Br4 0.134 0.134 0.998
Br5 0.182 0.497 0.523
Br6 0.207 0.882 0.231
Br7 0.433 0.433 0.299
Br8 0.485 0.040 0.196
Br9 0.497 0.182 0.523
Br10 0.503 0.818 0.477
Br11 0.515 0.960 0.804
Br12 0.567 0.567 0.701
Br13 0.793 0.118 0.769
Br14 0.818 0.503 0.477
Br15 0.866 0.866 0.002
Br16 0.869 0.869 0.469
Br17 0.882 0.207 0.231
Br18 0.960 0.515 0.804
O1 0.247 0.753 0.000
O2 0.339 0.339 0.010
O3 0.661 0.661 0.990
O4 0.753 0.247 0.000

---

Record 7
Diffraction record for CaCd3O4. The X-ray diffraction stick pattern is computed, not measured: it uses a cell relaxed with PBE and CuKα.
Neutral-atom scattering factors, no anomalous dispersion.

Top 10 peaks for 2θ from 10° to 80°, sorted by position:
2θ = 27.88°, rel. 6.7; 2θ = 32.35°, rel. 100.0; 2θ = 37.45°, rel. 67.2; 2θ = 37.70°, rel. 32.9; 2θ = 54.00°, rel. 21.4; 2θ = 54.19°, rel. 42.2; 2θ = 64.37°, rel. 27.7; 2θ = 64.70°, rel. 13.5; 2θ = 67.72°, rel. 20.3; 2θ = 79.89°, rel. 6.2

Atomic structure:
Cell: 3.396 3.396 9.545 Å, 90.00 90.00 90.00°
Fractional coordinates of all 8 atoms:
Ca1 0.000 0.000 0.000
Cd1 0.000 0.000 0.500
Cd2 0.500 0.500 0.253
Cd3 0.500 0.500 0.747
O1 0.000 0.000 0.251
O2 0.000 0.000 0.749
O3 0.500 0.500 0.000
O4 0.500 0.500 0.500

---

Record 8
Diffraction record for CeZn2Au4. The X-ray diffraction stick pattern is computed, not measured: it uses a cell relaxed with PBE and CuKα.
Neutral-atom scattering factors, no anomalous dispersion.

Top 10 peaks for 2θ from 10° to 80°, sorted by position:
2θ = 25.17°, rel. 34.8; 2θ = 32.81°, rel. 70.5; 2θ = 33.23°, rel. 45.6; 2θ = 35.89°, rel. 73.5; 2θ = 37.91°, rel. 27.2; 2θ = 41.80°, rel. 100.0; 2θ = 42.14°, rel. 62.1; 2θ = 49.41°, rel. 29.0; 2θ = 65.84°, rel. 27.9; 2θ = 74.28°, rel. 35.0

Atomic structure:
Cell: 5.684 5.684 5.684 Å, 103.00 103.00 123.38°
Fractional coordinates of all 7 atoms:
Ce1 0.000 0.000 0.000
Zn1 0.250 0.750 0.500
Zn2 0.750 0.250 0.500
Au1 0.302 0.302 0.604
Au2 0.302 0.698 0.000
Au3 0.698 0.302 0.000
Au4 0.698 0.698 0.396